# 1
The following is a theoretical powder X-ray diffraction pattern of NpNi6P4. It was derived from a crystal structure in Alexandria, relaxed with GGA-PBE, using λ = 1.5418 Å (Cu Kα).
Peak positions follow from Bragg's law for the DFT cell and can differ from measured ones.

Atomic structure:
Cell: 6.6446 6.6446 3.5915 Å, 90.00 90.00 120.00°
Fractional positions:
Np (0.0000, 0.0000, 0.0000)
Ni (0.2054, 0.4108, 0.5000)
Ni (0.2054, 0.7946, 0.5000)
Ni (0.5369, 0.0738, 0.0000)
Ni (0.5369, 0.4631, 0.0000)
Ni (0.5892, 0.7946, 0.5000)
Ni (0.9262, 0.4631, 0.0000)
P (0.3333, 0.6667, 0.0000)
P (0.3746, 0.1873, 0.5000)
P (0.8127, 0.1873, 0.5000)
P (0.8127, 0.6254, 0.5000)

Principal peaks in the range 2θ = 10–80°, in order of falling intensity:
index	2θ/deg	d_spacing	intensity
2 0 1	40.16	2.245	1000
1 1 1	36.85	2.439	407
2 1 0	41.52	2.175	401
1 0 0	15.40	5.754	329
1 0 1	29.31	3.047	314
2 0 0	31.08	2.877	241

# 2
The following is a theoretical powder X-ray diffraction pattern of Np2Ni12P7. It was derived from a crystal structure in Alexandria, relaxed with GGA-PBE, using λ = 1.5418 Å (Cu Kα).
Peak positions follow from Bragg's law for the DFT cell and can differ from measured ones.

Atomic structure:
Cell: 9.1068 9.1068 3.6780 Å, 90.00 90.00 120.00°
Fractional positions:
Np (0.3333, 0.6667, 0.2487)
Np (0.6667, 0.3333, 0.7513)
Ni (0.0526, 0.4323, 0.7502)
Ni (0.1117, 0.2554, 0.2443)
Ni (0.1438, 0.8883, 0.2443)
Ni (0.2554, 0.1438, 0.7557)
Ni (0.3796, 0.9474, 0.7502)
Ni (0.4323, 0.3796, 0.2498)
Ni (0.5677, 0.6204, 0.7502)
Ni (0.6204, 0.0526, 0.2498)
Ni (0.7446, 0.8562, 0.2443)
Ni (0.8562, 0.1117, 0.7557)
Ni (0.8883, 0.7446, 0.7557)
Ni (0.9474, 0.5677, 0.2498)
P (0.0000, 0.0000, 0.5000)
P (0.1146, 0.7070, 0.7503)
P (0.2930, 0.4076, 0.7503)
P (0.4076, 0.1146, 0.2497)
P (0.5924, 0.8854, 0.7503)
P (0.7070, 0.5924, 0.2497)
P (0.8854, 0.2930, 0.2497)

Principal peaks in the range 2θ = 10–80°, in order of falling intensity:
index	2θ/deg	d_spacing	intensity
2 1 1	38.89	2.316	1000
1 0 1	26.74	3.333	220
1 4 0	53.22	1.721	173
1 0 0	11.22	7.887	139
0 0 2	49.57	1.839	137
2 2 0	39.58	2.277	135